Entry 1:
This entry pairs a crystal structure of NaAsO6 with its computed powder X-ray diffraction pattern. Radiation: Cu Ka. Structure: the GGA-PBE geometry in the Materials Project.
Kinematic intensities with the Lorentz-polarization factor, no thermal factor.

The 6 most intense peaks (10° ≤ 2θ ≤ 90°), sorted by position:
2θ = 10.49°, d 8.429, I 51
2θ = 13.87°, d 6.387, I 100
2θ = 21.96°, d 4.048, I 53
2θ = 24.52°, d 3.631, I 39
2θ = 28.24°, d 3.160, I 53
2θ = 30.41°, d 2.940, I 76

Structural model:
```
NaAsO6
1.0
6.614 0.000 0.000
0.000 4.616 0.000
-2.269 0.000 8.429
Na As O
2 2 12
Direct
0.246 0.000 0.486
0.754 0.500 0.514
0.371 0.659 0.060
0.629 0.159 0.940
0.015 0.117 0.760
0.018 0.389 0.763
0.265 0.500 0.554
0.422 0.280 0.033
0.459 0.473 0.649
0.477 0.146 0.729
0.523 0.646 0.271
0.541 0.973 0.351
0.578 0.780 0.967
0.735 0.000 0.446
0.982 0.889 0.237
0.985 0.617 0.240
```


Entry 2:
This entry pairs a crystal structure of NaAlCdF6 with its computed powder X-ray diffraction pattern. Radiation: Cu Ka. Structure: the GGA-PBE geometry in the Materials Project.
Kinematic intensities with the Lorentz-polarization factor, no thermal factor.

The 6 most intense peaks (10° ≤ 2θ ≤ 90°), sorted by position:
2θ = 11.18°, d 7.912, I 100
2θ = 26.60°, d 3.351, I 54
2θ = 27.37°, d 3.259, I 36
2θ = 33.16°, d 2.702, I 37
2θ = 33.35°, d 2.686, I 28
2θ = 45.75°, d 1.983, I 29

Structural model:
```
NaAlCdF6
1.0
12.696 0.000 0.000
0.000 3.699 0.000
0.000 0.000 10.116
Na Al Cd F
4 4 4 24
Direct
0.085 0.250 0.174
0.415 0.750 0.674
0.585 0.250 0.326
0.915 0.750 0.826
0.164 0.250 0.820
0.336 0.750 0.320
0.664 0.250 0.680
0.836 0.750 0.180
0.120 0.750 0.500
0.380 0.250 0.000
0.620 0.750 0.000
0.880 0.250 0.500
0.027 0.250 0.855
0.042 0.250 0.402
0.144 0.250 0.640
0.166 0.750 0.814
0.193 0.750 0.287
0.199 0.250 0.995
0.301 0.750 0.495
0.307 0.250 0.787
0.334 0.250 0.314
0.356 0.750 0.140
0.458 0.750 0.902
0.473 0.750 0.355
0.527 0.250 0.645
0.542 0.250 0.098
0.644 0.250 0.860
0.666 0.750 0.686
0.693 0.750 0.213
0.699 0.250 0.505
0.801 0.750 0.005
0.807 0.250 0.713
0.834 0.250 0.186
0.856 0.750 0.360
0.958 0.750 0.598
0.973 0.750 0.145
```


Entry 3:
This entry pairs a crystal structure of Zr5Sb3 with its computed powder X-ray diffraction pattern. Radiation: Cu Ka. Structure: the GGA-PBE geometry in the Materials Project.
Kinematic intensities with the Lorentz-polarization factor, no thermal factor.

The 6 most intense peaks (10° ≤ 2θ ≤ 90°), sorted by position:
2θ = 30.84°, d 2.900, I 24
2θ = 32.10°, d 2.789, I 23
2θ = 35.73°, d 2.513, I 100
2θ = 36.54°, d 2.459, I 63
2θ = 37.52°, d 2.397, I 81
2θ = 58.06°, d 1.589, I 24

Structural model:
```
Zr5Sb3
1.0
8.519 0.000 0.000
-4.260 7.378 0.000
0.000 0.000 5.799
Zr Sb
10 6
Direct
0.000 0.253 0.250
0.000 0.747 0.750
0.253 0.000 0.250
0.253 0.253 0.750
0.333 0.667 0.000
0.333 0.667 0.500
0.667 0.333 0.000
0.667 0.333 0.500
0.747 0.000 0.750
0.747 0.747 0.250
0.000 0.388 0.750
0.000 0.612 0.250
0.388 0.000 0.750
0.388 0.388 0.250
0.612 0.000 0.250
0.612 0.612 0.750
```


Entry 4:
This entry pairs a crystal structure of MgSn2 with its computed powder X-ray diffraction pattern. Radiation: Cu Ka. Structure: the GGA-PBE geometry in the Materials Project.
Kinematic intensities with the Lorentz-polarization factor, no thermal factor.

The 6 most intense peaks (10° ≤ 2θ ≤ 90°), sorted by position:
2θ = 30.29°, d 2.951, I 27
2θ = 35.10°, d 2.556, I 100
2θ = 47.02°, d 1.933, I 16
2θ = 53.80°, d 1.704, I 17
2θ = 62.96°, d 1.476, I 19
2θ = 65.87°, d 1.418, I 31

Structural model:
```
MgSn2
1.0
2.951 1.704 5.115
-2.951 1.704 5.115
0.000 -3.408 5.115
Mg Sn
2 4
Direct
0.168 0.168 0.168
0.832 0.832 0.832
0.000 0.670 0.330
0.330 0.000 0.670
0.500 0.500 0.500
0.670 0.330 0.000
```


Entry 5:
This entry pairs a crystal structure of YCl3 with its computed powder X-ray diffraction pattern. Radiation: Cu Ka. Structure: the GGA-PBE geometry in the Materials Project.
Kinematic intensities with the Lorentz-polarization factor, no thermal factor.

The 6 most intense peaks (10° ≤ 2θ ≤ 90°), sorted by position:
2θ = 13.32°, d 6.649, I 100
2θ = 15.30°, d 5.791, I 45
2θ = 17.06°, d 5.199, I 29
2θ = 31.07°, d 2.878, I 39
2θ = 31.31°, d 2.857, I 77
2θ = 44.82°, d 2.022, I 35

Structural model:
```
YCl3
1.0
3.504 -6.052 0.000
3.504 6.052 0.000
-2.392 0.000 6.649
Y Cl
2 6
Direct
0.167 0.833 0.000
0.833 0.167 0.000
0.050 0.423 0.776
0.199 0.199 0.229
0.423 0.050 0.776
0.577 0.950 0.224
0.801 0.801 0.771
0.950 0.577 0.224
```


Entry 6:
This entry pairs a crystal structure of AlInI4 with its computed powder X-ray diffraction pattern. Radiation: Cu Ka. Structure: the GGA-PBE geometry in the Materials Project.
Kinematic intensities with the Lorentz-polarization factor, no thermal factor.

The 6 most intense peaks (10° ≤ 2θ ≤ 90°), sorted by position:
2θ = 24.67°, d 3.609, I 83
2θ = 25.16°, d 3.540, I 80
2θ = 25.30°, d 3.521, I 87
2θ = 26.11°, d 3.413, I 100
2θ = 26.66°, d 3.344, I 90
2θ = 30.68°, d 2.914, I 77

Structural model:
```
AlInI4
1.0
7.446 0.000 0.000
0.000 12.004 0.000
-1.246 0.000 12.447
Al In I
4 4 16
Direct
0.067 0.250 0.025
0.275 0.250 0.554
0.725 0.750 0.446
0.933 0.750 0.975
0.091 0.018 0.291
0.091 0.482 0.291
0.909 0.518 0.709
0.909 0.982 0.709
0.071 0.750 0.486
0.119 0.750 0.160
0.153 0.750 0.828
0.265 0.076 0.049
0.265 0.424 0.049
0.377 0.073 0.658
0.377 0.427 0.658
0.395 0.250 0.367
0.605 0.750 0.633
0.623 0.573 0.342
0.623 0.927 0.342
0.735 0.576 0.951
0.735 0.924 0.951
0.847 0.250 0.172
0.881 0.250 0.840
0.929 0.250 0.514
```


Entry 7:
This entry pairs a crystal structure of Er3Ni13B2 with its computed powder X-ray diffraction pattern. Radiation: Cu Ka. Structure: the GGA-PBE geometry in the Materials Project.
Kinematic intensities with the Lorentz-polarization factor, no thermal factor.

The 6 most intense peaks (10° ≤ 2θ ≤ 90°), sorted by position:
2θ = 32.39°, d 2.764, I 100
2θ = 36.50°, d 2.462, I 28
2θ = 42.33°, d 2.135, I 25
2θ = 42.54°, d 2.125, I 49
2θ = 44.45°, d 2.038, I 85
2θ = 44.60°, d 2.032, I 42

Structural model:
```
Er3Ni13B2
1.0
2.450 -4.271 0.000
2.450 4.271 0.000
0.000 0.000 10.905
Er Ni B
3 13 2
Direct
0.000 0.000 0.000
0.000 0.000 0.329
0.000 0.000 0.671
0.000 0.500 0.134
0.000 0.500 0.500
0.000 0.500 0.866
0.333 0.667 0.319
0.333 0.667 0.681
0.500 0.000 0.134
0.500 0.000 0.500
0.500 0.000 0.866
0.500 0.500 0.134
0.500 0.500 0.500
0.500 0.500 0.866
0.667 0.333 0.319
0.667 0.333 0.681
0.333 0.667 0.000
0.667 0.333 0.000
```


Entry 8:
This entry pairs a crystal structure of Ba2SnSe4O5 with its computed powder X-ray diffraction pattern. Radiation: Cu Ka. Structure: the GGA-PBE geometry in the Materials Project.
Kinematic intensities with the Lorentz-polarization factor, no thermal factor.

The 6 most intense peaks (10° ≤ 2θ ≤ 90°), sorted by position:
2θ = 24.44°, d 3.642, I 100
2θ = 25.16°, d 3.539, I 73
2θ = 25.91°, d 3.439, I 48
2θ = 31.27°, d 2.860, I 63
2θ = 35.36°, d 2.538, I 37
2θ = 49.05°, d 1.857, I 43

Structural model:
```
Ba2SnSe4O5
1.0
14.569 0.000 0.000
0.000 12.969 0.000
0.000 0.000 6.163
Ba Sn Se O
8 4 16 20
Direct
0.106 0.090 0.113
0.106 0.410 0.113
0.394 0.590 0.613
0.394 0.910 0.613
0.606 0.090 0.387
0.606 0.410 0.387
0.894 0.590 0.887
0.894 0.910 0.887
0.159 0.750 0.411
0.341 0.250 0.911
0.659 0.750 0.089
0.841 0.250 0.589
0.114 0.250 0.628
0.120 0.750 0.998
0.145 0.553 0.574
0.145 0.947 0.574
0.355 0.053 0.074
0.355 0.447 0.074
0.380 0.250 0.498
0.386 0.750 0.128
0.614 0.250 0.872
0.620 0.750 0.502
0.645 0.553 0.926
0.645 0.947 0.926
0.855 0.053 0.426
0.855 0.447 0.426
0.880 0.250 0.002
0.886 0.750 0.372
0.003 0.250 0.015
0.060 0.534 0.776
0.060 0.966 0.776
0.172 0.250 0.379
0.199 0.250 0.864
0.301 0.750 0.364
0.328 0.750 0.879
0.440 0.034 0.276
0.440 0.466 0.276
0.497 0.750 0.515
0.503 0.250 0.485
0.560 0.534 0.724
0.560 0.966 0.724
0.672 0.250 0.121
0.699 0.250 0.636
0.801 0.750 0.136
0.828 0.750 0.621
0.940 0.034 0.224
0.940 0.466 0.224
0.997 0.750 0.985
```


- Which formula does entry 5 have?
  YCl3